Record 1
The following is a simulated X-ray powder pattern of TbAlTc. It was derived from a GGA-PBE-relaxed structure, using CuKα.
No peak broadening, texture or thermal motion is included.

Cell and atoms:
```
data_TbAlTc
_space_group_name_H-M_alt 'I m m a'
_space_group_IT_number 74
_space_group_name_Hall '-I 2b 2'
_cell_length_a 5.3812
_cell_length_b 5.6262
_cell_length_c 7.5537
_cell_angle_alpha 90.00
_cell_angle_beta 90.00
_cell_angle_gamma 90.00
loop_
_atom_site_label
_atom_site_type_symbol
_atom_site_fract_x
_atom_site_fract_y
_atom_site_fract_z
Tb1 Tb 0.0000 0.2500 0.1155
Al1 Al 0.0000 0.0000 0.5000
Tc1 Tc 0.2500 0.2500 0.7500
```

Top 6 peaks for 2θ = 10–90°, most intense first:
(hkl), 2theta, Rel. int.
2 1 1, 38.97, 100
1 1 2, 33.06, 91
0 1 3, 39.20, 62
0 2 0, 31.81, 55
1 2 1, 38.01, 53
1 0 1, 20.26, 50

Record 2
The following is a simulated X-ray powder pattern of Dy2ScTe5. It was derived from a GGA-PBE-relaxed structure, using CuKα.
No peak broadening, texture or thermal motion is included.

Cell and atoms:
```
data_Dy2ScTe5
_space_group_name_H-M_alt 'C m c m'
_space_group_IT_number 63
_space_group_name_Hall '-C 2c 2'
_cell_length_a 6.0728
_cell_length_b 14.7192
_cell_length_c 13.2077
_cell_angle_alpha 90.00
_cell_angle_beta 90.00
_cell_angle_gamma 90.00
loop_
_atom_site_label
_atom_site_type_symbol
_atom_site_fract_x
_atom_site_fract_y
_atom_site_fract_z
Dy1 Dy 0.0000 0.1633 0.0633
Sc1 Sc 0.0000 0.1969 0.7500
Te1 Te 0.0000 0.0348 0.6244
Te2 Te 0.0000 0.2855 0.2500
Te3 Te 0.0000 0.3252 0.5820
```

Top 6 peaks for 2θ = 10–90°, most intense first:
(hkl), 2theta, Rel. int.
2 0 0, 29.42, 100
0 4 3, 31.69, 97
2 4 3, 43.78, 80
0 2 3, 23.55, 80
1 1 0, 15.79, 74
2 2 3, 38.02, 46